[1]
Diffraction record for Dy2HoSn3Pt3. The powder diffractogram is theoretical, not measured: it uses DFT lattice parameters and positions (PBE) and Cu Kα (weighted mean of Kα1 and Kα2).

Peak list (8 most intense, 5 to 70 degrees two-theta, low angle first)
d = 2.743 Å, I 83; d = 2.528 Å, I 100; d = 2.459 Å, I 33; d = 2.169 Å, I 48; d = 2.097 Å, I 38; d = 2.008 Å, I 28; d = 1.473 Å, I 29; d = 1.399 Å, I 35

Unit cell a=4.0155 b=7.5107 c=7.5107 alpha=119.95 beta=90.00 gamma=90.00
Fractional coordinates of all 9 atoms:
Dy1 0.0000 0.2032 0.7968
Dy2 0.0000 0.7968 0.2032
Ho1 0.0000 0.3905 0.3905
Sn1 0.5000 0.0554 0.0554
Sn2 0.5000 0.5382 0.7965
Sn3 0.5000 0.7965 0.5382
Pt1 0.0000 0.7963 0.7963
Pt2 0.5000 0.1307 0.4632
Pt3 0.5000 0.4632 0.1307

[2]
Diffraction record for Zr3Zn4Se. The powder diffractogram is theoretical, not measured: it uses DFT lattice parameters and positions (PBE) and Cu Kα (weighted mean of Kα1 and Kα2).

Peak list (8 most intense, 5 to 70 degrees two-theta, low angle first)
d = 2.623 Å, I 13; d = 2.590 Å, I 18; d = 2.393 Å, I 100; d = 2.346 Å, I 76; d = 1.843 Å, I 8; d = 1.739 Å, I 24; d = 1.659 Å, I 11; d = 1.596 Å, I 10

Unit cell a=7.3735 b=7.3735 c=7.3735 alpha=119.58 beta=119.58 gamma=90.73
Fractional coordinates of all 16 atoms:
Zr1 0.1572 0.6572 0.8143
Zr2 0.2500 0.2500 0.0000
Zr3 0.3428 0.1572 0.5000
Zr4 0.6572 0.8428 0.5000
Zr5 0.7500 0.7500 0.0000
Zr6 0.8428 0.3428 0.1857
Zn1 0.0442 0.8336 0.5000
Zn2 0.1664 0.6664 0.2106
Zn3 0.3336 0.5442 0.5000
Zn4 0.4558 0.9558 0.7894
Zn5 0.5442 0.0442 0.2106
Zn6 0.6664 0.4558 0.5000
Zn7 0.8336 0.3336 0.7894
Zn8 0.9558 0.1664 0.5000
Se1 0.0000 0.0000 0.0000
Se2 0.5000 0.5000 0.0000